The following is a calculated powder diffractogram of ZrTl2Mo3O12. It was derived from the PBE+U geometry in Alexandria, using a wavelength of 1.5418 Å.

Largest 6 diffraction maxima, low angle first, 10° ≤ 2θ ≤ 80°:
2θ 24.0, d 3.715, rel. 270; 2θ 28.0, d 3.187, rel. 1000; 2θ 28.2, d 3.170, rel. 258; 2θ 28.8, d 3.101, rel. 272; 2θ 44.7, d 2.027, rel. 313; 2θ 49.0, d 1.857, rel. 221

Cell and atoms:
```
data_ZrTl2Mo3O12
_cell_length_a 7.4291
_cell_length_b 7.4291
_cell_length_c 18.6053
_cell_angle_alpha 90.00
_cell_angle_beta 90.00
_cell_angle_gamma 120.00
_symmetry_space_group_name_H-M 'R -3 m'
_symmetry_Int_Tables_number 166
_symmetry_space_group_name_Hall '-R 3 2"'
loop_
_atom_site_label
_atom_site_type_symbol
_atom_site_fract_x
_atom_site_fract_y
_atom_site_fract_z
Zr1 Zr 0.0000 0.0000 0.0000
Tl1 Tl 0.0000 0.0000 0.3364
Mo1 Mo 0.0000 0.5000 0.5000
O1 O 0.0676 0.5338 0.6001
O2 O 0.0917 0.5459 0.8506
```